For DyHoAg6, a crystal structure in OQMD, relaxed with GGA-PBE gives the simulated powder diffractogram in this record (Cu Kα, 1.54184 Å).

Top 10 peaks for 10 to 90 degrees two-theta, sorted by position:
- 34.1 deg, d = 2.632 Å, I 28
- 35.8 deg, d = 2.506 Å, I 43
- 38.6 deg, d = 2.331 Å, I 100
- 39.0 deg, d = 2.312 Å, I 55
- 50.3 deg, d = 1.815 Å, I 18
- 61.4 deg, d = 1.509 Å, I 17
- 66.3 deg, d = 1.411 Å, I 19
- 72.6 deg, d = 1.303 Å, I 12
- 73.2 deg, d = 1.293 Å, I 20
- 74.5 deg, d = 1.273 Å, I 15

Cell: 5.0122 6.1006 5.2108 Å, 90.00 90.00 90.00°
Sites, in units of the cell vectors:
Dy 0.0000 0.0000 0.0000
Ho 0.5000 0.5000 0.6939
Ag 0.0000 0.2541 0.5059
Ag 0.0000 0.5000 0.0215
Ag 0.0000 0.7459 0.5059
Ag 0.5000 0.0000 0.6722
Ag 0.5000 0.2461 0.1880
Ag 0.5000 0.7539 0.1880

***

For Sr2ZnBrClO2, a crystal structure in OQMD, relaxed with GGA-PBE gives the simulated powder diffractogram in this record (Cu Kα, 1.54184 Å).

Top 10 peaks for 10 to 90 degrees two-theta, sorted by position:
- 10.9 deg, d = 8.117 Å, I 26
- 31.0 deg, d = 2.885 Å, I 67
- 35.3 deg, d = 2.541 Å, I 100
- 38.3 deg, d = 2.352 Å, I 12
- 44.4 deg, d = 2.040 Å, I 34
- 58.0 deg, d = 1.591 Å, I 46
- 64.6 deg, d = 1.443 Å, I 11
- 66.0 deg, d = 1.415 Å, I 9
- 73.4 deg, d = 1.290 Å, I 11
- 75.8 deg, d = 1.255 Å, I 10

Cell: 8.6148 8.6148 8.6148 Å, 152.60 152.60 39.14°
Sites, in units of the cell vectors:
Sr 0.0000 0.0000 0.0000
Sr 0.2028 0.2028 0.0000
Zn 0.6016 0.6016 0.0000
Br 0.7883 0.7883 0.0000
Cl 0.4328 0.4328 0.0000
O 0.1033 0.6033 0.5000
O 0.6033 0.1033 0.5000

***

For Hf2AlNi2Bi, a crystal structure in OQMD, relaxed with GGA-PBE gives the simulated powder diffractogram in this record (Cu Kα, 1.54184 Å).

Top 10 peaks for 10 to 90 degrees two-theta, sorted by position:
- 16.3 deg, d = 5.437 Å, I 16
- 25.4 deg, d = 3.509 Å, I 16
- 26.4 deg, d = 3.370 Å, I 13
- 29.4 deg, d = 3.039 Å, I 53
- 39.9 deg, d = 2.257 Å, I 9
- 42.0 deg, d = 2.149 Å, I 100
- 52.1 deg, d = 1.755 Å, I 15
- 61.0 deg, d = 1.520 Å, I 16
- 69.1 deg, d = 1.359 Å, I 19
- 76.8 deg, d = 1.241 Å, I 33

Cell: 7.4418 7.4418 7.4418 Å, 131.78 131.78 70.58°
Sites, in units of the cell vectors:
Hf 0.2422 0.2422 0.0000
Hf 0.5078 0.0078 0.5000
Hf 0.7578 0.7578 0.0000
Hf 0.9922 0.4922 0.5000
Al 0.0000 0.0000 0.0000
Al 0.7500 0.2500 0.5000
Ni 0.1119 0.1250 0.4869
Ni 0.3750 0.8881 0.0131
Ni 0.6381 0.6250 0.5131
Ni 0.8750 0.3619 0.9869
Bi 0.2500 0.7500 0.5000
Bi 0.5000 0.5000 0.0000

***

For Nd2NbF8, a crystal structure in OQMD, relaxed with GGA-PBE gives the simulated powder diffractogram in this record (Cu Kα, 1.54184 Å).

Top 10 peaks for 10 to 90 degrees two-theta, sorted by position:
- 18.7 deg, d = 4.736 Å, I 16
- 24.2 deg, d = 3.675 Å, I 100
- 28.9 deg, d = 3.084 Å, I 95
- 34.5 deg, d = 2.599 Å, I 23
- 45.6 deg, d = 1.987 Å, I 82
- 49.6 deg, d = 1.838 Å, I 19
- 54.0 deg, d = 1.699 Å, I 14
- 55.9 deg, d = 1.644 Å, I 21
- 58.5 deg, d = 1.579 Å, I 22
- 69.7 deg, d = 1.349 Å, I 14

Cell: 6.8223 6.8223 6.8223 Å, 135.22 135.22 65.19°
Sites, in units of the cell vectors:
Nd 0.1472 0.1472 0.0000
Nd 0.8528 0.8528 0.0000
Nb 0.5000 0.5000 0.0000
F 0.1121 0.1126 0.6183
F 0.1518 0.3144 0.4399
F 0.2882 0.8482 0.1627
F 0.4944 0.4938 0.3817
F 0.5062 0.8879 0.0005
F 0.6856 0.1255 0.8373
F 0.8745 0.7118 0.5601
F 0.8874 0.5056 0.9995

***

For Pr2Nd2Be, a crystal structure in OQMD, relaxed with GGA-PBE gives the simulated powder diffractogram in this record (Cu Kα, 1.54184 Å).

Top 10 peaks for 10 to 90 degrees two-theta, sorted by position:
- 21.5 deg, d = 4.140 Å, I 42
- 31.2 deg, d = 2.867 Å, I 100
- 37.6 deg, d = 2.390 Å, I 43
- 43.7 deg, d = 2.070 Å, I 7
- 49.7 deg, d = 1.836 Å, I 27
- 51.0 deg, d = 1.791 Å, I 11
- 60.6 deg, d = 1.528 Å, I 16
- 63.9 deg, d = 1.456 Å, I 25
- 67.9 deg, d = 1.380 Å, I 7
- 88.7 deg, d = 1.103 Å, I 11

Cell: 4.7802 4.7802 7.9481 Å, 90.00 90.00 120.00°
Sites, in units of the cell vectors:
Pr 0.3333 0.6667 0.1503
Pr 0.6667 0.3333 0.8497
Nd 0.3333 0.6667 0.6294
Nd 0.6667 0.3333 0.3706
Be 0.0000 0.0000 0.5000

***

For LuMgAlFe, a crystal structure in OQMD, relaxed with GGA-PBE gives the simulated powder diffractogram in this record (Cu Kα, 1.54184 Å).

Top 10 peaks for 10 to 90 degrees two-theta, sorted by position:
- 23.4 deg, d = 3.805 Å, I 38
- 27.1 deg, d = 3.295 Å, I 51
- 38.6 deg, d = 2.330 Å, I 100
- 45.7 deg, d = 1.987 Å, I 21
- 47.8 deg, d = 1.902 Å, I 14
- 55.8 deg, d = 1.647 Å, I 17
- 63.1 deg, d = 1.473 Å, I 19
- 69.9 deg, d = 1.345 Å, I 34
- 82.9 deg, d = 1.165 Å, I 11
- 89.2 deg, d = 1.098 Å, I 9

Cell: 4.6596 4.6596 4.6596 Å, 60.00 60.00 60.00°
Sites, in units of the cell vectors:
Lu 0.0000 0.0000 0.0000
Mg 0.7500 0.7500 0.7500
Al 0.2500 0.2500 0.2500
Fe 0.5000 0.5000 0.5000

***

For SrCd2GaPt, a crystal structure in OQMD, relaxed with GGA-PBE gives the simulated powder diffractogram in this record (Cu Kα, 1.54184 Å).

Top 10 peaks for 10 to 90 degrees two-theta, sorted by position:
- 14.8 deg, d = 5.998 Å, I 18
- 21.3 deg, d = 4.169 Å, I 32
- 30.1 deg, d = 2.973 Å, I 28
- 32.1 deg, d = 2.784 Å, I 100
- 40.6 deg, d = 2.223 Å, I 53
- 41.6 deg, d = 2.170 Å, I 40
- 42.8 deg, d = 2.111 Å, I 33
- 58.7 deg, d = 1.572 Å, I 17
- 60.5 deg, d = 1.531 Å, I 24
- 68.6 deg, d = 1.369 Å, I 22

Cell: 6.7723 6.7723 6.7723 Å, 141.68 141.68 55.32°
Sites, in units of the cell vectors:
Sr 0.0000 0.0000 0.0000
Cd 0.2591 0.7591 0.5000
Cd 0.7591 0.2591 0.5000
Ga 0.6104 0.6104 0.0000
Pt 0.4070 0.4070 0.0000

***

For Rb2NiH3, a crystal structure in OQMD, relaxed with GGA-PBE gives the simulated powder diffractogram in this record (Cu Kα, 1.54184 Å).

Top 10 peaks for 10 to 90 degrees two-theta, sorted by position:
- 29.0 deg, d = 3.083 Å, I 31
- 32.1 deg, d = 2.789 Å, I 100
- 36.3 deg, d = 2.472 Å, I 66
- 42.6 deg, d = 2.122 Å, I 15
- 50.3 deg, d = 1.814 Å, I 19
- 54.3 deg, d = 1.689 Å, I 22
- 59.1 deg, d = 1.564 Å, I 13
- 62.7 deg, d = 1.481 Å, I 19
- 64.5 deg, d = 1.445 Å, I 13
- 68.8 deg, d = 1.364 Å, I 15

Cell: 3.3776 3.3776 9.2501 Å, 90.00 90.00 120.00°
Sites, in units of the cell vectors:
Rb 0.3333 0.6667 0.2030
Rb 0.6667 0.3333 0.7970
Ni 0.0000 0.0000 0.5000
H 0.0000 0.0000 0.0000
H 0.3333 0.6667 0.5609
H 0.6667 0.3333 0.4391

***

For AgW3Br7, a crystal structure in OQMD, relaxed with GGA-PBE gives the simulated powder diffractogram in this record (Cu Kα, 1.54184 Å).

Top 10 peaks for 10 to 90 degrees two-theta, sorted by position:
- 10.4 deg, d = 8.504 Å, I 52
- 11.2 deg, d = 7.876 Å, I 33
- 11.7 deg, d = 7.576 Å, I 100
- 11.9 deg, d = 7.409 Å, I 91
- 15.3 deg, d = 5.776 Å, I 47
- 33.1 deg, d = 2.708 Å, I 16
- 38.3 deg, d = 2.351 Å, I 15
- 45.4 deg, d = 1.999 Å, I 19
- 46.6 deg, d = 1.949 Å, I 12
- 49.1 deg, d = 1.854 Å, I 11

Cell: 9.6868 15.7526 9.8435 Å, 90.00 118.61 90.00°
Sites, in units of the cell vectors:
Ag 0.0738 0.2108 0.4066
Ag 0.0738 0.2892 0.9066
Ag 0.9262 0.7108 0.0934
Ag 0.9262 0.7892 0.5934
W 0.3488 0.0597 0.0281
W 0.3488 0.4403 0.5281
W 0.3694 0.5957 0.4372
W 0.3694 0.9043 0.9372
W 0.4077 0.0374 0.7938
W 0.4077 0.4626 0.2938
W 0.5923 0.5374 0.7062
W 0.5923 0.9626 0.2062
W 0.6306 0.0957 0.0628
W 0.6306 0.4043 0.5628
W 0.6512 0.5597 0.4719
W 0.6512 0.9403 0.9719
Br 0.1252 0.0013 0.7592
Br 0.1252 0.4987 0.2592
Br 0.1331 0.1428 0.0665
Br 0.1331 0.3572 0.5665
Br 0.1936 0.7348 0.3513
Br 0.1936 0.7652 0.8513
Br 0.2803 0.0863 0.5008
Br 0.2803 0.4137 0.0008
Br 0.3103 0.5732 0.6716
Br 0.3103 0.9268 0.1716
Br 0.3860 0.1927 0.8827
Br 0.3860 0.3073 0.3827
Br 0.4284 0.6176 0.2024
Br 0.4284 0.8824 0.7024
Br 0.5716 0.1176 0.2976
Br 0.5716 0.3824 0.7976
Br 0.6140 0.6927 0.6173
Br 0.6140 0.8073 0.1173
Br 0.6897 0.0732 0.8284
Br 0.6897 0.4268 0.3284
Br 0.7197 0.5863 0.9992
Br 0.7197 0.9137 0.4992
Br 0.8064 0.2348 0.1487
Br 0.8064 0.2652 0.6487
Br 0.8669 0.6428 0.4335
Br 0.8669 0.8572 0.9335
Br 0.8748 0.5013 0.7408
Br 0.8748 0.9987 0.2408

***

For AlW4, a crystal structure in OQMD, relaxed with GGA-PBE gives the simulated powder diffractogram in this record (Cu Kα, 1.54184 Å).

Top 10 peaks for 10 to 90 degrees two-theta, sorted by position:
- 12.8 deg, d = 6.916 Å, I 50
- 37.4 deg, d = 2.401 Å, I 33
- 37.9 deg, d = 2.372 Å, I 100
- 39.1 deg, d = 2.305 Å, I 36
- 39.7 deg, d = 2.270 Å, I 30
- 40.8 deg, d = 2.211 Å, I 67
- 42.0 deg, d = 2.153 Å, I 77
- 43.0 deg, d = 2.102 Å, I 48
- 44.0 deg, d = 2.059 Å, I 26
- 66.6 deg, d = 1.403 Å, I 21

Cell: 9.7805 9.7805 5.1260 Å, 90.00 90.00 90.00°
Sites, in units of the cell vectors:
Al 0.0000 0.0000 0.0000
Al 0.1092 0.1092 0.5000
Al 0.3908 0.6092 0.0000
Al 0.5000 0.5000 0.5000
Al 0.6092 0.3908 0.0000
Al 0.8908 0.8908 0.5000
W 0.0366 0.3747 0.5000
W 0.0663 0.2568 0.0000
W 0.1253 0.5366 0.0000
W 0.1839 0.8161 0.2514
W 0.1839 0.8161 0.7486
W 0.2432 0.5663 0.5000
W 0.2568 0.0663 0.0000
W 0.3161 0.3161 0.2486
W 0.3161 0.3161 0.7514
W 0.3747 0.0366 0.5000
W 0.4337 0.7568 0.5000
W 0.4634 0.8747 0.0000
W 0.5366 0.1253 0.0000
W 0.5663 0.2432 0.5000
W 0.6253 0.9634 0.5000
W 0.6839 0.6839 0.2486
W 0.6839 0.6839 0.7514
W 0.7432 0.9337 0.0000
W 0.7568 0.4337 0.5000
W 0.8161 0.1839 0.2514
W 0.8161 0.1839 0.7486
W 0.8747 0.4634 0.0000
W 0.9337 0.7432 0.0000
W 0.9634 0.6253 0.5000

***

For Lu4Nb2Fe3N3, a crystal structure in OQMD, relaxed with GGA-PBE gives the simulated powder diffractogram in this record (Cu Kα, 1.54184 Å).

Top 10 peaks for 10 to 90 degrees two-theta, sorted by position:
- 25.6 deg, d = 3.476 Å, I 17
- 32.2 deg, d = 2.776 Å, I 23
- 32.8 deg, d = 2.730 Å, I 14
- 33.5 deg, d = 2.679 Å, I 25
- 37.2 deg, d = 2.417 Å, I 100
- 38.3 deg, d = 2.352 Å, I 25
- 38.9 deg, d = 2.317 Å, I 23
- 41.1 deg, d = 2.196 Å, I 18
- 57.8 deg, d = 1.595 Å, I 15
- 69.3 deg, d = 1.355 Å, I 14

Cell: 5.6723 5.6723 14.2956 Å, 101.77 101.77 57.53°
Sites, in units of the cell vectors:
Lu 0.0406 0.1959 0.1019
Lu 0.1316 0.2998 0.3985
Lu 0.1959 0.0406 0.6019
Lu 0.2998 0.1316 0.8985
Lu 0.7002 0.8684 0.1015
Lu 0.8041 0.9594 0.3981
Lu 0.8684 0.7002 0.6015
Lu 0.9594 0.8041 0.8981
Nb 0.3631 0.5216 0.0796
Nb 0.4784 0.6369 0.4204
Nb 0.5216 0.3631 0.5796
Nb 0.6369 0.4784 0.9204
Fe 0.1309 0.8691 0.7500
Fe 0.3649 0.4041 0.2507
Fe 0.4041 0.3649 0.7507
Fe 0.5959 0.6351 0.2493
Fe 0.6351 0.5959 0.7493
Fe 0.8691 0.1309 0.2500
N 0.0000 0.5000 0.0000
N 0.1654 0.6683 0.4994
N 0.3317 0.8346 0.0006
N 0.5000 0.0000 0.5000
N 0.6683 0.1654 0.9994
N 0.8346 0.3317 0.5006

***

For RbTaAuS3, a crystal structure in OQMD, relaxed with GGA-PBE gives the simulated powder diffractogram in this record (Cu Kα, 1.54184 Å).

Top 10 peaks for 10 to 90 degrees two-theta, sorted by position:
- 11.3 deg, d = 7.809 Å, I 100
- 14.5 deg, d = 6.107 Å, I 18
- 22.8 deg, d = 3.905 Å, I 14
- 31.4 deg, d = 2.853 Å, I 41
- 31.6 deg, d = 2.835 Å, I 44
- 35.4 deg, d = 2.534 Å, I 32
- 36.7 deg, d = 2.450 Å, I 25
- 39.2 deg, d = 2.298 Å, I 23
- 41.1 deg, d = 2.194 Å, I 17
- 56.3 deg, d = 1.635 Å, I 13

Cell: 8.0142 8.0142 9.7997 Å, 90.00 90.00 154.04°
Sites, in units of the cell vectors:
Rb 0.2481 0.7519 0.7500
Rb 0.7519 0.2481 0.2500
Ta 0.5000 0.5000 0.0000
Ta 0.5000 0.5000 0.5000
Au 0.0557 0.9443 0.2500
Au 0.9443 0.0557 0.7500
S 0.1138 0.8862 0.0255
S 0.1138 0.8862 0.4745
S 0.4342 0.5658 0.2500
S 0.5658 0.4342 0.7500
S 0.8862 0.1138 0.5255
S 0.8862 0.1138 0.9745

***

Number 12 is which compound? RbTaAuS3